Starting from a DFT-relaxed cell (GGA-PBE, Alexandria), the powder XRD pattern of Cu7PSe6 was simulated for Cu Kα (weighted mean of Kα1 and Kα2).

Atomic structure:
```
56
Lattice="10.144 0.000 0.000 0.000 10.144 0.000 0.000 0.000 10.144" Properties=species:S:1:pos:R:3 pbc="T T T"
Cu 0.003 0.251 7.927
Cu 10.141 5.323 7.288
Cu 0.251 7.927 0.003
Cu 0.725 4.019 2.752
Cu 1.053 7.392 5.797
Cu 1.541 1.541 1.541
Cu 2.216 5.075 4.821
Cu 2.320 9.418 9.091
Cu 2.752 0.725 4.019
Cu 2.856 5.069 9.893
Cu 3.530 8.602 6.613
Cu 4.019 2.752 0.725
Cu 4.346 6.125 7.824
Cu 4.821 2.216 5.075
Cu 5.075 4.821 2.216
Cu 5.069 9.893 2.856
Cu 5.323 7.288 10.141
Cu 5.797 1.053 7.392
Cu 6.125 7.824 4.346
Cu 6.613 3.530 8.602
Cu 7.288 10.141 5.323
Cu 7.392 5.797 1.053
Cu 7.824 4.346 6.125
Cu 7.927 0.003 0.251
Cu 8.602 6.613 3.530
Cu 9.091 2.320 9.418
Cu 9.418 9.091 2.320
Cu 9.893 2.856 5.069
P 2.461 2.611 7.533
P 2.611 7.533 2.461
P 7.533 2.461 2.611
P 7.682 7.682 7.682
Se 0.194 0.194 0.194
Se 1.062 3.788 8.815
Se 1.284 1.329 6.134
Se 1.301 8.843 3.771
Se 1.329 6.134 1.284
Se 2.216 7.288 7.927
Se 2.856 2.856 2.856
Se 3.743 4.010 6.356
Se 3.771 1.301 8.843
Se 3.788 8.815 1.062
Se 4.010 6.356 3.743
Se 4.878 9.950 5.266
Se 5.266 4.878 9.950
Se 6.134 1.284 1.329
Se 6.356 3.743 4.010
Se 6.372 6.372 6.372
Se 6.401 9.082 8.860
Se 7.288 7.927 2.216
Se 7.927 2.216 7.288
Se 8.815 1.062 3.788
Se 8.843 3.771 1.301
Se 8.860 6.401 9.082
Se 9.082 8.860 6.401
Se 9.950 5.266 4.878
```

Top 10 peaks for 10° ≤ 2θ ≤ 90°, in order of falling intensity:
2θ/deg	Rel. int.	index
30.53	1000	2 2 2
50.92	491	4 4 0
46.52	483	3 3 3
29.20	348	3 1 1
33.04	335	3 1 2
45.60	219	4 1 3
37.62	179	4 1 1
60.55	169	6 2 2
31.81	163	3 0 2
40.76	156	4 1 2